# 1
# GdSbPd
Calculated powder XRD pattern, Cu Ka. Input: a cell relaxed with PBE.

Cell and atoms:
Unit cell a=4.6004 b=4.6004 c=7.4244 alpha=90.00 beta=90.00 gamma=120.00
Space group P6_3mc (No. 186)
Unique sites:
Gd  0.0000  0.0000  0.0000 [2 per cell]
Sb  0.3333  0.6667  0.2266 [2 per cell]
Pd  0.3333  0.6667  0.8256 [2 per cell]

Largest 10 diffraction maxima, sorted by position, 5° ≤ 2θ ≤ 70°:
| d_spacing | Position (°2θ) | I/Imax | hkl |
| --- | --- | --- | --- |
| 3.511 | 25.37 | 12.5 | 1 0 1 |
| 2.716 | 32.98 | 100.0 | 1 0 2 |
| 2.300 | 39.16 | 76.4 | 1 1 0 |
| 2.102 | 43.03 | 20.1 | 1 0 3 |
| 1.755 | 52.11 | 27.3 | 2 0 2 |
| 1.682 | 54.54 | 6.1 | 1 0 4 |
| 1.552 | 59.58 | 7.5 | 2 0 3 |
| 1.444 | 64.51 | 11.8 | 1 1 4 |
| 1.395 | 67.07 | 25.4 | 2 1 2 |
| 1.391 | 67.29 | 8.0 | 1 0 5 |


# 2
# La3Zn2Cu2Si4
Calculated powder XRD pattern, Cu Ka. Input: a cell relaxed with PBE.

Cell and atoms:
Unit cell a=4.2143 b=4.2632 c=24.3270 alpha=90.00 beta=90.00 gamma=90.00
Space group Immm (No. 71)
Unique sites:
La  0.0000  0.0000  0.0000 [2 per cell]
La  0.0000  0.5000  0.3476 [4 per cell]
Zn  0.0000  0.5000  0.0980 [4 per cell]
Cu  0.0000  0.0000  0.2499 [4 per cell]
Si  0.0000  0.0000  0.4515 [4 per cell]
Si  0.0000  0.5000  0.1985 [4 per cell]

Largest 10 diffraction maxima, sorted by position, 5° ≤ 2θ ≤ 70°:
| d_spacing | Position (°2θ) | I/Imax | hkl |
| --- | --- | --- | --- |
| 3.739 | 23.79 | 18.0 | 1 0 3 |
| 3.206 | 27.82 | 9.3 | 0 1 5 |
| 2.690 | 33.31 | 100.0 | 1 1 4 |
| 2.275 | 39.61 | 15.5 | 1 0 9 |
| 2.132 | 42.39 | 20.6 | 0 2 0 |
| 2.107 | 42.92 | 16.0 | 2 0 0 |
| 1.660 | 55.36 | 12.3 | 2 1 7 |
| 1.556 | 59.42 | 9.2 | 1 2 9 |
| 1.499 | 61.92 | 10.5 | 2 2 0 |
| 1.356 | 69.30 | 10.1 | 1 1 16 |